No. 1
Diffraction record for LiHf4Se8. The powder diffraction line list is calculated, not measured: it uses a cell relaxed with GGA-PBE and Cu Kα.
Peak positions follow from Bragg's law for the DFT cell and can differ from measured ones.

Atomic structure:
a b c (Å): 10.9333 10.9333 10.9333
angles (deg): 90.00 90.00 90.00
Space group F-43m (No. 216)
Asymmetric unit:
Li 0.0000 0.0000 0.0000
Hf 0.1215 0.1215 0.6215
Se 0.1235 0.1235 0.3765
Se 0.1306 0.1306 0.8694

Peak list (6 most intense, 2θ from 5° to 70°, sorted by position)
- hkl 1 1 1, 2θ 14.0, I = 78
- hkl 3 1 1, 2θ 27.0, I = 44
- hkl 4 0 0, 2θ 32.8, I = 100
- hkl 5 1 1, 2θ 43.0, I = 21
- hkl 4 4 0, 2θ 47.0, I = 73
- hkl 4 4 4, 2θ 58.5, I = 25

No. 2
Diffraction record for CsBiB2H8. The powder diffraction line list is calculated, not measured: it uses a cell relaxed with GGA-PBE and Cu Kα.
Peak positions follow from Bragg's law for the DFT cell and can differ from measured ones.

Atomic structure:
a b c (Å): 5.8934 5.8934 17.7549
angles (deg): 90.00 90.00 120.00
Space group R-3 (No. 148, hexagonal axes)
Asymmetric unit:
Cs 0.0000 0.0000 0.0000
Bi 0.0000 0.0000 0.5000
B 0.0000 0.0000 0.1914
H 0.0000 0.0000 0.2597
H 0.1033 0.2217 0.1627

Peak list (6 most intense, 2θ from 5° to 70°, sorted by position)
- hkl 0 1 2, 2θ 20.1, I = 100
- hkl 1 0 4, 2θ 26.6, I = 59
- hkl 1 1 0, 2θ 30.3, I = 47
- hkl 2 0 2, 2θ 36.6, I = 23
- hkl 1 1 6, 2θ 43.3, I = 33
- hkl 3 -2 2, 2θ 48.3, I = 22

No. 3
Diffraction record for DyGaFeCo3. The powder diffraction line list is calculated, not measured: it uses a cell relaxed with GGA-PBE and Cu Kα.
Peak positions follow from Bragg's law for the DFT cell and can differ from measured ones.

Atomic structure:
a b c (Å): 4.8985 3.9978 5.0275
angles (deg): 90.00 118.41 90.00
Space group P2/m (No. 10)
Asymmetric unit:
Dy 0.0000 0.0000 0.0000
Ga 0.5000 0.5000 0.0000
Fe 0.0000 0.5000 0.5000
Co 0.3225 0.0000 0.6402
Co 0.5000 0.5000 0.5000

Peak list (6 most intense, 2θ from 5° to 70°, sorted by position)
- hkl 1 1 0, 2θ 30.5, I = 50
- hkl 1 1 -1, 2θ 30.7, I = 48
- hkl 1 1 1, 2θ 42.1, I = 77
- hkl 1 1 -2, 2θ 42.5, I = 100
- hkl 2 1 -1, 2θ 43.3, I = 63
- hkl 0 2 0, 2θ 45.4, I = 57